Record 1
This entry pairs a crystal structure of RbNi6As4 with its simulated X-ray diffraction stick pattern. Radiation: Cu Kα (weighted mean of Kα1 and Kα2). Structure: DFT lattice parameters and positions (PBE).

The 10 most intense peaks (2θ = 5–70°), sorted by position:
two_theta  d [Å]  Rel. int.
6.95  12.711  97.6
28.08  3.178  8.1
29.03  3.075  100.0
33.57  2.670  22.3
43.70  2.071  35.5
47.06  1.931  53.8
48.95  1.861  76.4
56.25  1.635  30.1
59.57  1.552  7.6
68.75  1.365  16.4

```
data_RbNi6As4
_chemical_formula_sum 'Rb2 Ni12 As8'
_cell_length_a 3.862
_cell_length_b 3.862
_cell_length_c 25.423
_cell_angle_alpha 90.00
_cell_angle_beta 90.00
_cell_angle_gamma 90.00
_symmetry_space_group_name_H-M 'I 4/m m m'
_symmetry_Int_Tables_number 139
_symmetry_space_group_name_Hall '-I 4 2'
loop_
_atom_site_label
_atom_site_type_symbol
_atom_site_fract_x
_atom_site_fract_y
_atom_site_fract_z
_atom_site_occupancy
Rb1 Rb 0.000 0.000 0.000 1
Ni1 Ni 0.000 0.500 0.142 1
Ni2 Ni 0.000 0.500 0.250 1
As1 As 0.000 0.000 0.196 1
As2 As 0.000 0.000 0.412 1
```

Record 2
This entry pairs a crystal structure of RbNiAs2Se with its simulated X-ray diffraction stick pattern. Radiation: Cu Kα (weighted mean of Kα1 and Kα2). Structure: DFT lattice parameters and positions (PBE).

The 10 most intense peaks (2θ = 5–70°), sorted by position:
two_theta  d [Å]  Rel. int.
18.93  4.689  9.8
25.14  3.542  14.6
31.66  2.826  100.0
33.15  2.702  50.5
38.40  2.344  70.1
51.61  1.771  55.8
55.43  1.658  24.4
58.29  1.583  18.0
65.25  1.430  25.1
66.13  1.413  26.1

```
data_RbNiAs2Se
_chemical_formula_sum 'Rb1 Ni1 As2 Se1'
_cell_length_a 4.689
_cell_length_b 4.689
_cell_length_c 5.404
_cell_angle_alpha 90.00
_cell_angle_beta 90.00
_cell_angle_gamma 90.00
_symmetry_space_group_name_H-M 'P 4/m m m'
_symmetry_Int_Tables_number 123
_symmetry_space_group_name_Hall '-P 4 2'
loop_
_atom_site_label
_atom_site_type_symbol
_atom_site_fract_x
_atom_site_fract_y
_atom_site_fract_z
_atom_site_occupancy
Rb1 Rb 0.000 0.000 0.000 1
Ni1 Ni 0.500 0.500 0.500 1
As1 As 0.000 0.500 0.500 1
Se1 Se 0.500 0.500 0.000 1
```

Record 3
This entry pairs a crystal structure of Re5Ni2As12 with its simulated X-ray diffraction stick pattern. Radiation: Cu Kα (weighted mean of Kα1 and Kα2). Structure: DFT lattice parameters and positions (PBE).

The 10 most intense peaks (2θ = 5–70°), sorted by position:
two_theta  d [Å]  Rel. int.
13.25  6.684  42.4
15.10  5.869  57.8
31.48  2.842  69.3
33.03  2.712  53.3
34.16  2.625  61.3
35.35  2.539  100.0
45.48  1.995  96.7
49.62  1.837  54.5
54.16  1.694  47.7
56.69  1.624  43.3

```
data_Re5Ni2As12
_chemical_formula_sum 'Re10 Ni4 As24'
_cell_length_a 12.650
_cell_length_b 15.747
_cell_length_c 3.248
_cell_angle_alpha 90.00
_cell_angle_beta 90.00
_cell_angle_gamma 90.00
_symmetry_space_group_name_H-M 'P n n m'
_symmetry_Int_Tables_number 58
loop_
_symmetry_equiv_pos_as_xyz
'x,y,z'
'-x,-y,-z'
'-x,-y,z'
'x,y,-z'
'x+1/2,-y+1/2,-z+1/2'
'-x+1/2,y+1/2,z+1/2'
'-x+1/2,y+1/2,-z+1/2'
'x+1/2,-y+1/2,z+1/2'
loop_
_atom_site_label
_atom_site_type_symbol
_atom_site_fract_x
_atom_site_fract_y
_atom_site_fract_z
_atom_site_occupancy
Re1 Re 0.000 0.000 0.000 1
Re2 Re 0.079 0.262 0.500 1
Re3 Re 0.184 0.399 0.000 1
Ni1 Ni 0.129 0.653 0.500 1
As1 As 0.035 0.422 0.500 1
As2 As 0.069 0.762 0.000 1
As3 As 0.093 0.098 0.500 1
As4 As 0.159 0.909 0.000 1
As5 As 0.207 0.559 0.000 1
As6 As 0.226 0.244 0.000 1
```

Record 4
This entry pairs a crystal structure of ReNiAs4 with its simulated X-ray diffraction stick pattern. Radiation: Cu Kα (weighted mean of Kα1 and Kα2). Structure: DFT lattice parameters and positions (PBE).

The 9 most intense peaks (2θ = 5–70°), sorted by position:
two_theta  d [Å]  Rel. int.
20.63  4.305  11.5
23.87  3.728  11.0
34.01  2.636  41.9
40.11  2.248  100.0
41.98  2.152  27.6
53.58  1.711  2.8
55.08  1.667  5.2
60.87  1.522  15.5
65.00  1.435  31.6

```
data_ReNiAs4
_chemical_formula_sum 'Re4 Ni4 As16'
_cell_length_a 7.456
_cell_length_b 7.456
_cell_length_c 7.456
_cell_angle_alpha 90.00
_cell_angle_beta 90.00
_cell_angle_gamma 90.00
_symmetry_space_group_name_H-M 'F -4 3 m'
_symmetry_Int_Tables_number 216
_symmetry_space_group_name_Hall 'F -4 2 3'
loop_
_atom_site_label
_atom_site_type_symbol
_atom_site_fract_x
_atom_site_fract_y
_atom_site_fract_z
_atom_site_occupancy
Re1 Re 0.000 0.000 0.000 1
Ni1 Ni 0.250 0.250 0.250 1
As1 As 0.125 0.125 0.625 1
```

Record 5
This entry pairs a crystal structure of Ni5As3Rh with its simulated X-ray diffraction stick pattern. Radiation: Cu Kα (weighted mean of Kα1 and Kα2). Structure: DFT lattice parameters and positions (PBE).

The 10 most intense peaks (2θ = 5–70°), sorted by position:
two_theta  d [Å]  Rel. int.
13.88  6.380  30.1
35.93  2.499  17.7
42.70  2.118  100.0
43.06  2.101  34.2
43.95  2.060  44.3
46.54  1.952  34.3
49.28  1.849  40.4
50.13  1.820  29.9
50.30  1.814  16.6
51.97  1.760  25.0

```
data_Ni5As3Rh
_chemical_formula_sum 'Ni20 As12 Rh4'
_cell_length_a 3.698
_cell_length_b 12.761
_cell_length_c 10.550
_cell_angle_alpha 90.00
_cell_angle_beta 90.00
_cell_angle_gamma 90.00
_symmetry_space_group_name_H-M 'C m c m'
_symmetry_Int_Tables_number 63
_symmetry_space_group_name_Hall '-C 2c 2'
loop_
_atom_site_label
_atom_site_type_symbol
_atom_site_fract_x
_atom_site_fract_y
_atom_site_fract_z
_atom_site_occupancy
Ni1 Ni 0.000 0.000 0.000 1
Ni2 Ni 0.000 0.197 0.044 1
Ni3 Ni 0.000 0.424 0.630 1
As1 As 0.000 0.138 0.250 1
As2 As 0.000 0.379 0.091 1
Rh1 Rh 0.000 0.059 0.750 1
```

Record 6
This entry pairs a crystal structure of NiAsRh2 with its simulated X-ray diffraction stick pattern. Radiation: Cu Kα (weighted mean of Kα1 and Kα2). Structure: DFT lattice parameters and positions (PBE).

The 9 most intense peaks (2θ = 5–70°), sorted by position:
two_theta  d [Å]  Rel. int.
14.06  6.300  1.0
33.47  2.677  10.8
41.90  2.156  100.0
43.07  2.100  4.0
43.27  2.091  48.9
53.52  1.712  1.1
58.61  1.575  7.2
62.70  1.482  5.2
62.85  1.479  15.6

```
data_NiAsRh2
_chemical_formula_sum 'Ni1 As1 Rh2'
_cell_length_a 2.957
_cell_length_b 2.957
_cell_length_c 6.300
_cell_angle_alpha 90.00
_cell_angle_beta 90.00
_cell_angle_gamma 90.00
_symmetry_space_group_name_H-M 'P 4 m m'
_symmetry_Int_Tables_number 99
loop_
_symmetry_equiv_pos_as_xyz
'x,y,z'
'-y,x,z'
'-x,-y,z'
'y,-x,z'
'-x,y,z'
'y,x,z'
'x,-y,z'
'-y,-x,z'
loop_
_atom_site_label
_atom_site_type_symbol
_atom_site_fract_x
_atom_site_fract_y
_atom_site_fract_z
_atom_site_occupancy
Ni1 Ni 0.000 0.000 0.000 1
As1 As 0.500 0.500 0.792 1
Rh1 Rh 0.000 0.000 0.545 1
Rh2 Rh 0.500 0.500 0.252 1
```

Record 7
This entry pairs a crystal structure of Th2Ni4As3Rh with its simulated X-ray diffraction stick pattern. Radiation: Cu Kα (weighted mean of Kα1 and Kα2). Structure: DFT lattice parameters and positions (PBE).

The 10 most intense peaks (2θ = 5–70°), sorted by position:
two_theta  d [Å]  Rel. int.
23.69  3.756  23.6
31.32  2.856  19.7
34.43  2.605  63.4
36.03  2.493  100.0
44.89  2.019  46.1
49.99  1.824  28.8
57.77  1.596  29.1
63.58  1.463  13.2
65.36  1.428  14.8
69.43  1.354  21.5

```
data_Th2Ni4As3Rh
_chemical_formula_sum 'Th2 Ni4 As3 Rh1'
_cell_length_a 4.038
_cell_length_b 4.038
_cell_length_c 10.224
_cell_angle_alpha 90.00
_cell_angle_beta 90.00
_cell_angle_gamma 90.00
_symmetry_space_group_name_H-M 'P -4 m 2'
_symmetry_Int_Tables_number 115
loop_
_symmetry_equiv_pos_as_xyz
'x,y,z'
'y,-x,-z'
'-x,-y,z'
'-y,x,-z'
'-x,y,z'
'-y,-x,-z'
'x,-y,z'
'y,x,-z'
loop_
_atom_site_label
_atom_site_type_symbol
_atom_site_fract_x
_atom_site_fract_y
_atom_site_fract_z
_atom_site_occupancy
Th1 Th 0.000 0.500 0.247 1
Ni1 Ni 0.000 0.000 0.500 1
Ni2 Ni 0.000 0.500 0.850 1
Ni3 Ni 0.500 0.500 0.500 1
As1 As 0.000 0.000 0.000 1
As2 As 0.000 0.500 0.624 1
Rh1 Rh 0.500 0.500 0.000 1
```

Record 8
This entry pairs a crystal structure of Y2NiAs4Rh3 with its simulated X-ray diffraction stick pattern. Radiation: Cu Kα (weighted mean of Kα1 and Kα2). Structure: DFT lattice parameters and positions (PBE).

The 10 most intense peaks (2θ = 5–70°), sorted by position:
two_theta  d [Å]  Rel. int.
29.93  2.986  13.6
34.29  2.615  68.0
35.01  2.563  100.0
42.84  2.111  78.0
47.45  1.916  39.6
50.52  1.807  27.5
55.98  1.643  32.3
62.19  1.493  25.1
64.01  1.455  12.0
68.34  1.373  21.7

```
data_Y2NiAs4Rh3
_chemical_formula_sum 'Y2 Ni1 As4 Rh3'
_cell_length_a 4.222
_cell_length_b 4.222
_cell_length_c 9.994
_cell_angle_alpha 90.00
_cell_angle_beta 90.00
_cell_angle_gamma 90.00
_symmetry_space_group_name_H-M 'P -4 m 2'
_symmetry_Int_Tables_number 115
loop_
_symmetry_equiv_pos_as_xyz
'x,y,z'
'y,-x,-z'
'-x,-y,z'
'-y,x,-z'
'-x,y,z'
'-y,-x,-z'
'x,-y,z'
'y,x,-z'
loop_
_atom_site_label
_atom_site_type_symbol
_atom_site_fract_x
_atom_site_fract_y
_atom_site_fract_z
_atom_site_occupancy
Y1 Y 0.000 0.500 0.244 1
Ni1 Ni 0.500 0.500 0.000 1
As1 As 0.000 0.000 0.500 1
As2 As 0.000 0.500 0.869 1
As3 As 0.500 0.500 0.500 1
Rh1 Rh 0.000 0.000 0.000 1
Rh2 Rh 0.000 0.500 0.628 1
```

Record 9
This entry pairs a crystal structure of NiAsRu2 with its simulated X-ray diffraction stick pattern. Radiation: Cu Kα (weighted mean of Kα1 and Kα2). Structure: DFT lattice parameters and positions (PBE).

The 10 most intense peaks (2θ = 5–70°), sorted by position:
two_theta  d [Å]  Rel. int.
33.04  2.711  21.8
39.98  2.255  81.4
40.11  2.248  9.7
40.83  2.210  17.3
42.60  2.122  34.9
42.86  2.110  100.0
46.90  1.937  17.1
47.67  1.908  36.5
53.90  1.701  16.1
65.83  1.419  18.4

```
data_NiAsRu2
_chemical_formula_sum 'Ni1 As1 Ru2'
_cell_length_a 2.865
_cell_length_b 3.816
_cell_length_c 5.191
_cell_angle_alpha 90.00
_cell_angle_beta 102.64
_cell_angle_gamma 90.00
_symmetry_space_group_name_H-M 'P 1 2/m 1'
_symmetry_Int_Tables_number 10
loop_
_symmetry_equiv_pos_as_xyz
'x,y,z'
'-x,-y,-z'
'-x,y,-z'
'x,-y,z'
loop_
_atom_site_label
_atom_site_type_symbol
_atom_site_fract_x
_atom_site_fract_y
_atom_site_fract_z
_atom_site_occupancy
Ni1 Ni 0.000 0.000 0.000 1
As1 As 0.000 0.000 0.500 1
Ru1 Ru 0.371 0.500 0.748 1
```

Record 10
This entry pairs a crystal structure of Ni3AsS with its simulated X-ray diffraction stick pattern. Radiation: Cu Kα (weighted mean of Kα1 and Kα2). Structure: DFT lattice parameters and positions (PBE).

The 10 most intense peaks (2θ = 5–70°), sorted by position:
two_theta  d [Å]  Rel. int.
13.55  6.533  87.4
20.41  4.351  27.3
31.39  2.850  28.8
39.32  2.291  100.0
39.91  2.259  66.2
41.77  2.162  63.0
48.50  1.877  74.5
49.19  1.852  55.5
54.96  1.671  28.6
55.17  1.665  30.0

```
data_Ni3AsS
_chemical_formula_sum 'Ni6 As2 S2'
_cell_length_a 3.704
_cell_length_b 6.533
_cell_length_c 5.833
_cell_angle_alpha 90.00
_cell_angle_beta 90.00
_cell_angle_gamma 90.00
_symmetry_space_group_name_H-M 'P m c 21'
_symmetry_Int_Tables_number 26
loop_
_symmetry_equiv_pos_as_xyz
'x,y,z'
'-x,-y,z+1/2'
'-x,y,z'
'x,-y,z+1/2'
loop_
_atom_site_label
_atom_site_type_symbol
_atom_site_fract_x
_atom_site_fract_y
_atom_site_fract_z
_atom_site_occupancy
Ni1 Ni 0.000 0.086 0.000 1
Ni2 Ni 0.000 0.317 0.596 1
Ni3 Ni 0.500 0.198 0.324 1
As1 As 0.500 0.148 0.736 1
S1 S 0.000 0.365 0.222 1
```

Record 11
This entry pairs a crystal structure of Ni4AsS with its simulated X-ray diffraction stick pattern. Radiation: Cu Kα (weighted mean of Kα1 and Kα2). Structure: DFT lattice parameters and positions (PBE).

The 10 most intense peaks (2θ = 5–70°), sorted by position:
two_theta  d [Å]  Rel. int.
28.70  3.110  18.6
28.84  3.096  19.7
32.32  2.770  12.3
33.84  2.649  22.9
37.64  2.390  6.8
47.49  1.914  100.0
48.45  1.879  24.0
48.78  1.867  23.5
55.47  1.657  5.6
67.64  1.385  7.6

```
data_Ni4AsS
_chemical_formula_sum 'Ni4 As1 S1'
_cell_length_a 3.734
_cell_length_b 3.758
_cell_length_c 5.540
_cell_angle_alpha 90.00
_cell_angle_beta 90.00
_cell_angle_gamma 90.00
_symmetry_space_group_name_H-M 'P m m m'
_symmetry_Int_Tables_number 47
loop_
_symmetry_equiv_pos_as_xyz
'x,y,z'
'-x,-y,-z'
'-x,-y,z'
'x,y,-z'
'x,-y,-z'
'-x,y,z'
'-x,y,-z'
'x,-y,z'
loop_
_atom_site_label
_atom_site_type_symbol
_atom_site_fract_x
_atom_site_fract_y
_atom_site_fract_z
_atom_site_occupancy
Ni1 Ni 0.000 0.000 0.235 1
Ni2 Ni 0.500 0.500 0.237 1
As1 As 0.500 0.000 0.500 1
S1 S 0.000 0.500 0.000 1
```

Record 12
This entry pairs a crystal structure of Ni5As2S with its simulated X-ray diffraction stick pattern. Radiation: Cu Kα (weighted mean of Kα1 and Kα2). Structure: DFT lattice parameters and positions (PBE).

The 10 most intense peaks (2θ = 5–70°), sorted by position:
two_theta  d [Å]  Rel. int.
16.95  5.231  6.3
27.47  3.247  10.8
31.72  2.821  39.5
33.56  2.671  8.3
33.75  2.656  6.0
47.55  1.912  100.0
50.49  1.808  23.2
58.12  1.587  9.8
58.32  1.582  13.0
60.14  1.539  6.2

```
data_Ni5As2S
_chemical_formula_sum 'Ni20 As8 S4'
_cell_length_a 6.348
_cell_length_b 3.822
_cell_length_c 18.463
_cell_angle_alpha 90.00
_cell_angle_beta 90.00
_cell_angle_gamma 90.00
_symmetry_space_group_name_H-M 'P n m a'
_symmetry_Int_Tables_number 62
loop_
_symmetry_equiv_pos_as_xyz
'x,y,z'
'-x,-y,-z'
'-x+1/2,-y,z+1/2'
'x+1/2,y,-z+1/2'
'x+1/2,-y+1/2,-z+1/2'
'-x+1/2,y+1/2,z+1/2'
'-x,y+1/2,-z'
'x,-y+1/2,z'
loop_
_atom_site_label
_atom_site_type_symbol
_atom_site_fract_x
_atom_site_fract_y
_atom_site_fract_z
_atom_site_occupancy
Ni1 Ni 0.082 0.250 0.178 1
Ni2 Ni 0.115 0.250 0.980 1
Ni3 Ni 0.129 0.250 0.658 1
Ni4 Ni 0.135 0.250 0.512 1
Ni5 Ni 0.163 0.250 0.324 1
As1 As 0.125 0.750 0.251 1
As2 As 0.128 0.750 0.585 1
S1 S 0.126 0.750 0.919 1
```

> Which formula does entry 2 have?

RbNiAs2Se

> Number 2 is which compound?

RbNiAs2Se